NdDy3Ir4: calculated powder diffraction line list (Cu Kα X-rays), based on a structure optimized by DFT (GGA-PBE).
Peak positions follow from Bragg's law for the DFT cell and can differ from measured ones.

```
NdDy3Ir4
1.0
4.9765 0.0000 0.0000
0.0000 4.9765 0.0000
0.0000 0.0000 6.6744
Nd Dy Ir
1 3 4
Direct
0.0000 0.0000 0.0000
0.0000 0.0000 0.5000
0.5000 0.5000 0.0000
0.5000 0.5000 0.5000
0.0000 0.5000 0.2558
0.0000 0.5000 0.7442
0.5000 0.0000 0.2558
0.5000 0.0000 0.7442
```

The 10 most intense peaks (2θ = 10–80°), by angle:
h k l, Position (°2θ), intensity
1 1 0, 25.31, 1
2 0 0, 36.10, 54
1 1 2, 37.13, 100
2 0 2, 45.47, 1
2 2 0, 51.97, 19
0 0 4, 55.03, 8
3 1 2, 65.59, 38
2 0 4, 67.60, 17
4 0 0, 76.58, 6
2 2 4, 79.10, 11